1.
# Ac2GaSiRu
Calculated powder diffraction line list, copper Kα. Input: a cell relaxed with PBE.

```
Ac2GaSiRu
1.0
4.5587 0.0000 0.0000
0.0000 4.5587 0.0000
0.0000 0.0000 13.9516
Ac Ga Si Ru
4 2 2 2
Cartesian
1.1397 1.1397 1.5855
1.1397 1.1397 9.1549
3.4190 3.4190 4.7966
3.4190 3.4190 12.3661
1.1397 1.1397 5.8033
3.4190 3.4190 8.1483
1.1397 1.1397 12.3368
3.4190 3.4190 1.6148
1.1397 3.4190 6.9758
3.4190 1.1397 6.9758
```

Top 10 peaks for 2θ from 10° to 80°, sorted by position:
2θ = 23.3°, I = 100
2θ = 25.5°, I = 20
2θ = 27.4°, I = 23
2θ = 27.7°, I = 60
2θ = 38.0°, I = 78
2θ = 39.5°, I = 51
2θ = 46.4°, I = 34
2θ = 57.2°, I = 17
2θ = 67.0°, I = 20
2θ = 70.7°, I = 26

2.
# Dy3Ga3Hg
Calculated powder diffraction line list, copper Kα. Input: a cell relaxed with PBE.

```
Dy3Ga3Hg
1.0
5.4670 -2.2247 0.0000
5.4670 2.2247 0.0000
-4.7663 0.0000 13.4058
Dy Ga Hg
6 6 2
Cartesian
-1.4919 0.0000 5.0218
-3.2475 0.0000 12.3981
1.5253 0.0000 2.9196
4.6424 0.0000 10.4862
9.4151 0.0000 1.0077
7.6595 0.0000 8.3840
1.9918 0.0000 6.0585
-0.1550 0.0000 12.4185
1.5728 0.0000 10.4139
4.5949 0.0000 2.9919
6.3226 0.0000 0.9873
4.1759 0.0000 7.3473
-0.0577 0.0000 8.1710
6.2254 0.0000 5.2348
```

Top 10 peaks for 2θ from 10° to 80°, sorted by position:
2θ = 31.6°, I = 100
2θ = 31.8°, I = 27
2θ = 32.1°, I = 68
2θ = 32.2°, I = 63
2θ = 32.8°, I = 28
2θ = 33.7°, I = 34
2θ = 36.6°, I = 41
2θ = 38.9°, I = 83
2θ = 40.5°, I = 75
2θ = 63.1°, I = 27

3.
# K3TlAu5
Calculated powder diffraction line list, copper Kα. Input: a cell relaxed with PBE.

```
K3TlAu5
1.0
-2.8547 10.0781 4.2827
2.8547 -10.0781 4.2827
2.8547 10.0781 -4.2827
K Tl Au
6 2 10
Cartesian
2.8547 -5.0391 3.2608
0.0000 1.7520 1.0187
2.8547 1.7520 3.2641
0.0000 8.3262 1.0187
2.8547 8.3262 3.2641
0.0000 15.1172 1.0219
2.8547 5.0391 1.4148
0.0000 5.0391 2.8680
2.8547 0.0000 0.0000
2.8547 2.9033 -0.3730
1.4274 8.8672 -2.1414
1.4274 -1.2110 2.1414
2.8547 7.1748 -0.3730
0.0000 0.0000 4.2827
0.0000 2.9033 4.6557
-1.4274 11.2891 2.1414
1.4274 11.2891 2.1414
0.0000 7.1748 4.6557
```

Top 10 peaks for 2θ from 10° to 80°, sorted by position:
2θ = 16.8°, I = 88
2θ = 18.7°, I = 100
2θ = 29.3°, I = 30
2θ = 32.6°, I = 41
2θ = 33.9°, I = 40
2θ = 37.9°, I = 37
2θ = 39.0°, I = 24
2θ = 40.1°, I = 37
2θ = 41.6°, I = 25
2θ = 48.2°, I = 28